[1]
# Nd4PaSe5
Theoretical powder X-ray diffraction pattern, Cu Kα, 1.54184 Å. Input: a PBE-relaxed structure.

Principal peaks in the range 2θ from 10° to 90°, by angle:
2theta	intensity
26.02	21
30.13	100
43.14	74
51.07	11
53.52	26
62.69	8
69.02	4
71.06	21
71.13	11
79.10	24

a b c (Å): 4.1917 4.1917 29.6914
angles (deg): 90.00 90.00 90.00
Space group I4/mmm (No. 139)
One atom of each set of equivalent atoms:
1 Nd 0.0000 0.0000 0.0999 (multiplicity 4)
2 Nd 0.0000 0.0000 0.3048 (multiplicity 4)
3 Pa 0.0000 0.0000 0.5000 (multiplicity 2)
4 Se 0.0000 0.0000 0.0000 (multiplicity 2)
5 Se 0.0000 0.0000 0.2022 (multiplicity 4)
6 Se 0.0000 0.0000 0.4034 (multiplicity 4)

***

[2]
# Nd2Pa2Se5
Theoretical powder X-ray diffraction pattern, Cu Kα, 1.54184 Å. Input: a PBE-relaxed structure.

Principal peaks in the range 2θ from 10° to 90°, by angle:
2theta	intensity
13.77	45
24.69	53
25.12	38
26.38	55
28.37	86
30.96	36
34.02	60
41.22	100
43.47	77
78.24	31

a b c (Å): 4.1640 4.1640 19.2997
angles (deg): 90.00 90.00 120.00
Space group P-3m1 (No. 164)
One atom of each set of equivalent atoms:
1 Nd 0.3333 0.6667 0.0906 (multiplicity 2)
2 Pa 0.3333 0.6667 0.6748 (multiplicity 2)
3 Se 0.0000 0.0000 0.0000 (multiplicity 1)
4 Se 0.3333 0.6667 0.4035 (multiplicity 2)
5 Se 0.3333 0.6667 0.8207 (multiplicity 2)

***

[3]
# Nd2SmPaSe4
Theoretical powder X-ray diffraction pattern, Cu Kα, 1.54184 Å. Input: a PBE-relaxed structure.

Principal peaks in the range 2θ from 10° to 90°, by angle:
2theta	intensity
26.03	12
26.26	12
30.28	100
43.05	13
43.36	50
43.65	12
53.55	13
54.05	13
62.99	12
71.49	23

a b c (Å): 7.2421 4.1476 7.2448
angles (deg): 90.00 109.08 90.00
Space group P2/m (No. 10)
One atom of each set of equivalent atoms:
1 Nd 0.0000 0.0000 0.0000 (multiplicity 1)
2 Nd 0.5000 0.5000 0.0000 (multiplicity 1)
3 Sm 0.0000 0.5000 0.5000 (multiplicity 1)
4 Pa 0.5000 0.0000 0.5000 (multiplicity 1)
5 Se 0.2506 0.0000 0.7428 (multiplicity 2)
6 Se 0.2551 0.5000 0.2583 (multiplicity 2)

***

[4]
# TbNd2PaSe4
Theoretical powder X-ray diffraction pattern, Cu Kα, 1.54184 Å. Input: a PBE-relaxed structure.

Principal peaks in the range 2θ from 10° to 90°, by angle:
2theta	intensity
26.13	12
26.41	12
30.43	100
43.19	13
43.57	50
43.93	12
53.75	13
54.38	13
63.31	12
71.86	22

a b c (Å): 7.2117 4.1224 7.2175
angles (deg): 90.00 109.01 90.00
Space group P2/m (No. 10)
One atom of each set of equivalent atoms:
1 Tb 0.0000 0.0000 0.0000 (multiplicity 1)
2 Nd 0.5000 0.0000 0.5000 (multiplicity 1)
3 Nd 0.5000 0.5000 0.0000 (multiplicity 1)
4 Pa 0.0000 0.5000 0.5000 (multiplicity 1)
5 Se 0.2383 0.5000 0.2458 (multiplicity 2)
6 Se 0.2397 0.0000 0.7475 (multiplicity 2)

***

[5]
# NdPa2Si6
Theoretical powder X-ray diffraction pattern, Cu Kα, 1.54184 Å. Input: a PBE-relaxed structure.

Principal peaks in the range 2θ from 10° to 90°, by angle:
2theta	intensity
22.30	17
25.21	58
33.90	100
44.42	30
50.25	13
52.72	17
57.03	23
65.47	19
75.02	21
76.60	10

a b c (Å): 7.0650 7.0650 3.9870
angles (deg): 90.00 90.00 120.00
Space group P6/mmm (No. 191)
One atom of each set of equivalent atoms:
1 Nd 0.0000 0.0000 0.0000 (multiplicity 1)
2 Pa 0.3333 0.6667 0.0000 (multiplicity 2)
3 Si 0.0000 0.3360 0.5000 (multiplicity 6)

***

[6]
# Nd2PaTc2
Theoretical powder X-ray diffraction pattern, Cu Kα, 1.54184 Å. Input: a PBE-relaxed structure.

Principal peaks in the range 2θ from 10° to 90°, by angle:
2theta	intensity
17.87	36
31.21	69
31.61	100
36.19	28
38.80	77
41.93	29
53.18	31
55.53	19
55.77	21
60.67	39

a b c (Å): 4.3097 5.7347 9.9265
angles (deg): 90.00 90.00 90.00
Space group Immm (No. 71)
One atom of each set of equivalent atoms:
1 Nd 0.0000 0.0000 0.1968 (multiplicity 4)
2 Pa 0.0000 0.5000 0.0000 (multiplicity 2)
3 Tc 0.0000 0.2490 0.5000 (multiplicity 4)

***

[7]
# NdPa3Te6
Theoretical powder X-ray diffraction pattern, Cu Kα, 1.54184 Å. Input: a PBE-relaxed structure.

Principal peaks in the range 2θ from 10° to 90°, by angle:
2theta	intensity
19.48	46
23.22	62
31.94	29
34.62	100
38.05	27
39.86	30
41.10	19
45.85	17
52.97	14
57.25	16

a b c (Å): 11.2095 15.6507 4.3921
angles (deg): 90.00 90.00 90.00
Space group Cmmm (No. 65)
One atom of each set of equivalent atoms:
1 Nd 0.0000 0.0000 0.0000 (multiplicity 2)
2 Pa 0.0000 0.5000 0.0000 (multiplicity 2)
3 Pa 0.2500 0.2500 0.5000 (multiplicity 4)
4 Te 0.0000 0.1558 0.5000 (multiplicity 4)
5 Te 0.2157 0.3835 0.0000 (multiplicity 8)

***

[8]
# Nd2PaTe
Theoretical powder X-ray diffraction pattern, Cu Kα, 1.54184 Å. Input: a PBE-relaxed structure.

Principal peaks in the range 2θ from 10° to 90°, by angle:
2theta	intensity
29.68	100
36.29	18
36.48	56
47.86	27
56.94	13
57.34	16
61.51	23
61.64	12
77.84	13
81.60	11

a b c (Å): 3.8012 3.8012 29.7061
angles (deg): 90.00 90.00 120.00
Space group R-3m (No. 166, hexagonal axes)
One atom of each set of equivalent atoms:
1 Nd 0.0000 0.0000 0.2431 (multiplicity 6)
2 Pa 0.0000 0.0000 0.0000 (multiplicity 3)
3 Te 0.0000 0.0000 0.5000 (multiplicity 3)

***

[9]
# NdPb4
Theoretical powder X-ray diffraction pattern, Cu Kα, 1.54184 Å. Input: a PBE-relaxed structure.

Principal peaks in the range 2θ from 10° to 90°, by angle:
2theta	intensity
30.08	100
32.53	74
32.70	24
36.68	32
39.35	30
49.95	15
54.88	23
62.02	13
63.29	25
64.27	18

a b c (Å): 4.8996 6.7625 18.6756
angles (deg): 90.00 90.00 90.00
Space group Imma (No. 74)
One atom of each set of equivalent atoms:
1 Nd 0.0000 0.2500 0.0910 (multiplicity 4)
2 Pb 0.0000 0.0000 0.5000 (multiplicity 4)
3 Pb 0.0000 0.0012 0.6920 (multiplicity 8)
4 Pb 0.0000 0.2500 0.8985 (multiplicity 4)

***

[10]
# Nd4Pb
Theoretical powder X-ray diffraction pattern, Cu Kα, 1.54184 Å. Input: a PBE-relaxed structure.

Principal peaks in the range 2θ from 10° to 90°, by angle:
2theta	intensity
30.99	88
31.23	100
32.83	45
33.47	40
41.39	17
47.58	30
53.81	16
57.61	18
58.57	17
62.58	27

a b c (Å): 5.4565 6.9425 16.8266
angles (deg): 90.00 90.00 90.00
Space group Imma (No. 74)
One atom of each set of equivalent atoms:
1 Nd 0.0000 0.0000 0.0000 (multiplicity 4)
2 Nd 0.0000 0.0101 0.1998 (multiplicity 8)
3 Nd 0.0000 0.2500 0.6013 (multiplicity 4)
4 Pb 0.0000 0.2500 0.3912 (multiplicity 4)

***

[11]
# Nd5Pb4
Theoretical powder X-ray diffraction pattern, Cu Kα, 1.54184 Å. Input: a PBE-relaxed structure.

Principal peaks in the range 2θ from 10° to 90°, by angle:
2theta	intensity
28.63	100
28.80	43
29.67	37
30.41	28
31.44	30
32.40	57
33.30	28
33.52	93
33.94	30
43.60	27

a b c (Å): 8.4538 16.1448 8.5789
angles (deg): 90.00 90.00 90.00
Space group Pnma (No. 62)
One atom of each set of equivalent atoms:
1 Nd 0.0289 0.1007 0.1778 (multiplicity 8)
2 Nd 0.1241 0.6192 0.3411 (multiplicity 8)
3 Nd 0.2079 0.2500 0.5027 (multiplicity 4)
4 Pb 0.0727 0.2500 0.8778 (multiplicity 4)
5 Pb 0.1619 0.7500 0.6469 (multiplicity 4)
6 Pb 0.2180 0.0429 0.5342 (multiplicity 8)

***

[12]
# Nd2Pb3
Theoretical powder X-ray diffraction pattern, Cu Kα, 1.54184 Å. Input: a PBE-relaxed structure.

Principal peaks in the range 2θ from 10° to 90°, by angle:
2theta	intensity
31.29	100
35.43	35
37.96	16
50.97	10
52.89	23
61.04	23
64.44	13
65.28	10
83.46	4
86.49	9

a b c (Å): 8.0125 8.0125 4.7407
angles (deg): 90.00 90.00 90.00
Space group P4/m (No. 83)
One atom of each set of equivalent atoms:
1 Nd 0.1421 0.6942 0.0000 (multiplicity 4)
2 Pb 0.0000 0.0000 0.5000 (multiplicity 1)
3 Pb 0.1764 0.3963 0.5000 (multiplicity 4)
4 Pb 0.5000 0.5000 0.0000 (multiplicity 1)